Diffraction record for BaUI6. The X-ray diffraction stick pattern is calculated, not measured: it uses a structure optimized by DFT (GGA-PBE) and Cu Kα.
Neutral-atom scattering factors, no anomalous dispersion.

Peak list (10 most intense, 10° ≤ 2θ ≤ 90°, sorted by position)
two_theta, I_rel
13.33, 92
13.51, 100
20.18, 46
23.26, 60
23.90, 45
26.42, 85
28.11, 73
29.05, 81
31.82, 60
35.80, 88

Crystal structure
Lattice parameters (Å, degrees): 8.2017 8.2017 12.1282 91.14 91.14 73.49
Element x y z (fractional)
1 Ba 0.0176 0.9824 0.7500
2 Ba 0.9824 0.0176 0.2500
3 U 0.0000 0.5000 0.0000
4 U 0.5000 0.0000 0.5000
5 I 0.1222 0.2038 0.5000
6 I 0.1321 0.5570 0.2254
7 I 0.2038 0.1222 0.0000
8 I 0.2775 0.6124 0.8976
9 I 0.3876 0.7225 0.6024
10 I 0.4430 0.8679 0.2746
11 I 0.5570 0.1321 0.7254
12 I 0.6124 0.2775 0.3976
13 I 0.7225 0.3876 0.1024
14 I 0.7962 0.8778 0.0000
15 I 0.8679 0.4430 0.7746
16 I 0.8778 0.7962 0.5000